Entry 1:
For GdDy2TmPd4, a GGA-PBE-relaxed structure gives the simulated X-ray powder pattern in this record (λ = 1.5418 Å (Cu Kα)).
Kinematic intensities with the Lorentz-polarization factor, no thermal factor.

The 6 most intense peaks (2θ = 5–70°), low angle first:
- 2θ 25.51, rel. 5
- 2θ 36.39, rel. 100
- 2θ 44.97, rel. 1
- 2θ 52.41, rel. 18
- 2θ 59.17, rel. 2
- 2θ 65.48, rel. 36

Structure:
a b c (Å): 4.9377 4.9377 6.9827
angles (deg): 90.00 90.00 90.00
Element x y z (fractional)
1 Gd 0.0000 0.0000 0.0000
2 Dy 0.0000 0.0000 0.5000
3 Dy 0.5000 0.5000 0.0000
4 Tm 0.5000 0.5000 0.5000
5 Pd 0.0000 0.5000 0.2541
6 Pd 0.0000 0.5000 0.7459
7 Pd 0.5000 0.0000 0.2541
8 Pd 0.5000 0.0000 0.7459


Entry 2:
For Ho4GaCu2Ge4, a GGA-PBE-relaxed structure gives the simulated X-ray powder pattern in this record (λ = 1.5418 Å (Cu Kα)).
Kinematic intensities with the Lorentz-polarization factor, no thermal factor.

The 8 most intense peaks (2θ = 5–70°), low angle first:
- 2θ 33.43, rel. 74
- 2θ 34.77, rel. 100
- 2θ 36.24, rel. 79
- 2θ 36.38, rel. 48
- 2θ 37.38, rel. 48
- 2θ 40.51, rel. 35
- 2θ 42.78, rel. 60
- 2θ 63.65, rel. 28

Structure:
a b c (Å): 7.9656 7.9656 7.0144
angles (deg): 107.11 107.11 30.78
Element x y z (fractional)
1 Ho 0.0882 0.0882 0.3796
2 Ho 0.1491 0.1491 0.9337
3 Ho 0.8509 0.8509 0.0663
4 Ho 0.9118 0.9118 0.6204
5 Ga 0.5000 0.5000 0.0000
6 Cu 0.2834 0.2834 0.3659
7 Cu 0.7166 0.7166 0.6341
8 Ge 0.3026 0.3026 0.7536
9 Ge 0.4392 0.4392 0.3353
10 Ge 0.5608 0.5608 0.6647
11 Ge 0.6974 0.6974 0.2464


Entry 3:
For CdSi2Ni10, a GGA-PBE-relaxed structure gives the simulated X-ray powder pattern in this record (λ = 1.5418 Å (Cu Kα)).
Kinematic intensities with the Lorentz-polarization factor, no thermal factor.

The 8 most intense peaks (2θ = 5–70°), low angle first:
- 2θ 38.53, rel. 49
- 2θ 39.00, rel. 22
- 2θ 44.61, rel. 48
- 2θ 44.75, rel. 100
- 2θ 45.16, rel. 49
- 2θ 50.22, rel. 14
- 2θ 50.34, rel. 17
- 2θ 50.72, rel. 33

Structure:
a b c (Å): 8.1247 8.1247 4.6191
angles (deg): 90.00 90.00 90.00
Element x y z (fractional)
1 Cd 0.2500 0.2500 0.2094
2 Cd 0.7500 0.7500 0.7906
3 Si 0.0000 0.0000 0.5000
4 Si 0.0000 0.5000 0.5000
5 Si 0.5000 0.0000 0.5000
6 Si 0.5000 0.5000 0.5000
7 Ni 0.0000 0.0000 0.0000
8 Ni 0.0000 0.5000 0.0000
9 Ni 0.0330 0.2500 0.7271
10 Ni 0.1030 0.7500 0.7576
11 Ni 0.2500 0.0330 0.7271
12 Ni 0.2500 0.4670 0.7271
13 Ni 0.2500 0.6030 0.2424
14 Ni 0.2500 0.8970 0.2424
15 Ni 0.3970 0.7500 0.7576
16 Ni 0.4670 0.2500 0.7271
17 Ni 0.5000 0.0000 0.0000
18 Ni 0.5000 0.5000 0.0000
19 Ni 0.5330 0.7500 0.2729
20 Ni 0.6030 0.2500 0.2424
21 Ni 0.7500 0.1030 0.7576
22 Ni 0.7500 0.3970 0.7576
23 Ni 0.7500 0.5330 0.2729
24 Ni 0.7500 0.9670 0.2729
25 Ni 0.8970 0.2500 0.2424
26 Ni 0.9670 0.7500 0.2729


Entry 4:
For Pr2BiH3, a GGA-PBE-relaxed structure gives the simulated X-ray powder pattern in this record (λ = 1.5418 Å (Cu Kα)).
Kinematic intensities with the Lorentz-polarization factor, no thermal factor.

The 8 most intense peaks (2θ = 5–70°), low angle first:
- 2θ 12.98, rel. 24
- 2θ 27.38, rel. 39
- 2θ 27.73, rel. 69
- 2θ 28.78, rel. 100
- 2θ 32.64, rel. 79
- 2θ 32.96, rel. 40
- 2θ 36.14, rel. 36
- 2θ 44.05, rel. 24

Structure:
a b c (Å): 8.0657 8.0657 7.5040
angles (deg): 113.74 113.74 29.53
Element x y z (fractional)
1 Pr 0.0287 0.0287 0.2693
2 Pr 0.2996 0.2996 0.3195
3 Pr 0.7004 0.7004 0.6805
4 Pr 0.9713 0.9713 0.7307
5 Bi 0.3671 0.3671 0.9527
6 Bi 0.6329 0.6329 0.0473
7 H 0.0955 0.0955 0.6224
8 H 0.1927 0.1927 0.4763
9 H 0.4379 0.4379 0.5888
10 H 0.5621 0.5621 0.4112
11 H 0.8073 0.8073 0.5237
12 H 0.9045 0.9045 0.3776


Entry 5:
For NaMo6Cl13, a GGA-PBE-relaxed structure gives the simulated X-ray powder pattern in this record (λ = 1.5418 Å (Cu Kα)).
Kinematic intensities with the Lorentz-polarization factor, no thermal factor.

The 8 most intense peaks (2θ = 5–70°), low angle first:
- 2θ 11.37, rel. 100
- 2θ 11.52, rel. 96
- 2θ 13.01, rel. 44
- 2θ 13.23, rel. 45
- 2θ 13.72, rel. 56
- 2θ 14.11, rel. 47
- 2θ 14.82, rel. 36
- 2θ 45.25, rel. 20

Structure:
a b c (Å): 8.9769 9.0993 14.0403
angles (deg): 96.44 101.87 115.32
Element x y z (fractional)
1 Na 0.0013 0.2588 0.2275
2 Na 0.9987 0.7412 0.7725
3 Mo 0.2935 0.4926 0.9359
4 Mo 0.3090 0.8782 0.5420
5 Mo 0.3634 0.0437 0.4008
6 Mo 0.3948 0.2691 0.9748
7 Mo 0.4455 0.5093 0.1209
8 Mo 0.4551 0.8077 0.4124
9 Mo 0.5449 0.1923 0.5876
10 Mo 0.5545 0.4907 0.8791
11 Mo 0.6052 0.7309 0.0252
12 Mo 0.6366 0.9563 0.5992
13 Mo 0.6910 0.1218 0.4580
14 Mo 0.7065 0.5074 0.0641
15 Cl 0.0247 0.4891 0.8562
16 Cl 0.0544 0.7119 0.5924
17 Cl 0.1483 0.7448 0.3662
18 Cl 0.1534 0.2807 0.0297
19 Cl 0.1803 0.0821 0.2619
20 Cl 0.2335 0.1110 0.5293
21 Cl 0.2562 0.2665 0.8005
22 Cl 0.2574 0.9660 0.9372
23 Cl 0.3504 0.7155 0.0753
24 Cl 0.3825 0.5354 0.2915
25 Cl 0.4067 0.6604 0.5507
26 Cl 0.4564 0.7026 0.8482
27 Cl 0.4868 0.0233 0.7153
28 Cl 0.5132 0.9767 0.2847
29 Cl 0.5436 0.2974 0.1518
30 Cl 0.5933 0.3396 0.4493
31 Cl 0.6175 0.4646 0.7085
32 Cl 0.6496 0.2845 0.9247
33 Cl 0.7426 0.0340 0.0628
34 Cl 0.7438 0.7335 0.1995
35 Cl 0.7665 0.8890 0.4707
36 Cl 0.8197 0.9179 0.7381
37 Cl 0.8466 0.7193 0.9703
38 Cl 0.8517 0.2552 0.6338
39 Cl 0.9456 0.2881 0.4076
40 Cl 0.9753 0.5109 0.1438


Entry 6:
For SmTmAu, a GGA-PBE-relaxed structure gives the simulated X-ray powder pattern in this record (λ = 1.5418 Å (Cu Kα)).
Kinematic intensities with the Lorentz-polarization factor, no thermal factor.

The 8 most intense peaks (2θ = 5–70°), low angle first:
- 2θ 29.72, rel. 72
- 2θ 30.70, rel. 26
- 2θ 32.35, rel. 100
- 2θ 35.29, rel. 80
- 2θ 36.30, rel. 67
- 2θ 42.81, rel. 23
- 2θ 43.10, rel. 24
- 2θ 43.57, rel. 26

Structure:
a b c (Å): 7.2022 4.9497 8.8926
angles (deg): 90.00 90.00 90.00
Element x y z (fractional)
1 Sm 0.0138 0.2500 0.1770
2 Sm 0.4862 0.7500 0.6770
3 Sm 0.5138 0.2500 0.3230
4 Sm 0.9862 0.7500 0.8230
5 Tm 0.1478 0.2500 0.5799
6 Tm 0.3522 0.7500 0.0799
7 Tm 0.6478 0.2500 0.9201
8 Tm 0.8522 0.7500 0.4201
9 Au 0.2481 0.7500 0.4005
10 Au 0.2519 0.2500 0.9005
11 Au 0.7481 0.7500 0.0995
12 Au 0.7519 0.2500 0.5995


Entry 7:
For GdZr3C2Se2, a GGA-PBE-relaxed structure gives the simulated X-ray powder pattern in this record (λ = 1.5418 Å (Cu Kα)).
Kinematic intensities with the Lorentz-polarization factor, no thermal factor.

The 8 most intense peaks (2θ = 5–70°), low angle first:
- 2θ 29.14, rel. 27
- 2θ 29.96, rel. 6
- 2θ 35.94, rel. 100
- 2θ 41.85, rel. 11
- 2θ 51.66, rel. 26
- 2θ 51.80, rel. 11
- 2θ 64.54, rel. 18
- 2θ 68.58, rel. 15

Structure:
a b c (Å): 3.5384 3.5384 12.9521
angles (deg): 90.00 90.00 120.00
Element x y z (fractional)
1 Gd 0.0000 0.0000 0.0000
2 Zr 0.0000 0.0000 0.3117
3 Zr 0.3333 0.6667 0.4977
4 Zr 0.3333 0.6667 0.7982
5 C 0.6667 0.3333 0.4052
6 C 0.6667 0.3333 0.8862
7 Se 0.0000 0.0000 0.6473
8 Se 0.3333 0.6667 0.1658


Entry 8:
For Si17Ge13POs, a GGA-PBE-relaxed structure gives the simulated X-ray powder pattern in this record (λ = 1.5418 Å (Cu Kα)).
Kinematic intensities with the Lorentz-polarization factor, no thermal factor.

The 8 most intense peaks (2θ = 5–70°), low angle first:
- 2θ 11.30, rel. 23
- 2θ 27.79, rel. 100
- 2θ 27.89, rel. 37
- 2θ 46.16, rel. 48
- 2θ 46.23, rel. 31
- 2θ 46.39, rel. 15
- 2θ 54.75, rel. 39
- 2θ 54.92, rel. 19

Structure:
a b c (Å): 5.5635 3.9359 31.3203
angles (deg): 90.00 90.08 90.00
Element x y z (fractional)
1 Si 0.0000 0.0000 0.0000
2 Si 0.0001 0.0000 0.7493
3 Si 0.0018 0.0000 0.2502
4 Si 0.2408 0.0000 0.3125
5 Si 0.2482 0.0000 0.1886
6 Si 0.2513 0.0000 0.9395
7 Si 0.2519 0.0000 0.6890
8 Si 0.2548 0.0000 0.4396
9 Si 0.2639 0.0000 0.5650
10 Si 0.4893 0.5000 0.9383
11 Si 0.4906 0.5000 0.1878
12 Si 0.4920 0.5000 0.6869
13 Si 0.4955 0.5000 0.4419
14 Si 0.7334 0.5000 0.6229
15 Si 0.7414 0.5000 0.8781
16 Si 0.7490 0.5000 0.1281
17 Si 0.9905 0.0000 0.1282
18 Ge 0.0053 0.0000 0.3765
19 Ge 0.2370 0.0000 0.0646
20 Ge 0.2397 0.0000 0.8132
21 Ge 0.4898 0.5000 0.3134
22 Ge 0.5009 0.5000 0.0649
23 Ge 0.5008 0.5000 0.8142
24 Ge 0.7435 0.5000 0.3785
25 Ge 0.7495 0.5000 0.9997
26 Ge 0.7504 0.5000 0.2498
27 Ge 0.7514 0.5000 0.7493
28 Ge 0.9904 0.0000 0.8781
29 Ge 0.9922 0.0000 0.6265
30 Ge 0.9948 0.0000 0.5022
31 P 0.7279 0.5000 0.5041
32 Os 0.4854 0.5000 0.5619


Entry 9:
For Cu7Ag3, a GGA-PBE-relaxed structure gives the simulated X-ray powder pattern in this record (λ = 1.5418 Å (Cu Kα)).
Kinematic intensities with the Lorentz-polarization factor, no thermal factor.

The 8 most intense peaks (2θ = 5–70°), low angle first:
- 2θ 31.69, rel. 9
- 2θ 40.20, rel. 10
- 2θ 40.85, rel. 41
- 2θ 40.98, rel. 46
- 2θ 41.42, rel. 100
- 2θ 46.68, rel. 59
- 2θ 50.28, rel. 27
- 2θ 68.86, rel. 10

Structure:
a b c (Å): 5.7854 5.7854 9.0777
angles (deg): 98.81 98.81 27.26
Element x y z (fractional)
1 Cu 0.0000 0.0000 0.0000
2 Cu 0.0837 0.0837 0.2727
3 Cu 0.3044 0.3044 0.9110
4 Cu 0.3959 0.3959 0.1806
5 Cu 0.6041 0.6041 0.8194
6 Cu 0.6956 0.6956 0.0890
7 Cu 0.9163 0.9163 0.7273
8 Ag 0.2144 0.2144 0.6219
9 Ag 0.5000 0.5000 0.5000
10 Ag 0.7856 0.7856 0.3781


Entry 10:
For Er3AuS6, a GGA-PBE-relaxed structure gives the simulated X-ray powder pattern in this record (λ = 1.5418 Å (Cu Kα)).
Kinematic intensities with the Lorentz-polarization factor, no thermal factor.

The 8 most intense peaks (2θ = 5–70°), low angle first:
- 2θ 24.71, rel. 91
- 2θ 25.34, rel. 81
- 2θ 25.50, rel. 93
- 2θ 26.86, rel. 100
- 2θ 27.47, rel. 39
- 2θ 37.20, rel. 55
- 2θ 43.85, rel. 36
- 2θ 46.43, rel. 63

Structure:
a b c (Å): 4.1557 6.6630 8.4413
angles (deg): 88.47 77.91 84.57
Element x y z (fractional)
1 Er 0.0000 0.0000 0.0000
2 Er 0.3640 0.5473 0.2693
3 Er 0.6360 0.4527 0.7307
4 Au 0.0000 0.0000 0.5000
5 S 0.1612 0.6729 0.5980
6 S 0.1756 0.1722 0.7074
7 S 0.4460 0.2628 0.0333
8 S 0.5540 0.7372 0.9667
9 S 0.8244 0.8278 0.2926
10 S 0.8388 0.3271 0.4020


Entry 11:
For Ba3CoCl, a GGA-PBE-relaxed structure gives the simulated X-ray powder pattern in this record (λ = 1.5418 Å (Cu Kα)).
Kinematic intensities with the Lorentz-polarization factor, no thermal factor.

The 8 most intense peaks (2θ = 5–70°), low angle first:
- 2θ 15.05, rel. 18
- 2θ 26.21, rel. 100
- 2θ 30.36, rel. 71
- 2θ 34.05, rel. 9
- 2θ 43.47, rel. 52
- 2θ 51.47, rel. 47
- 2θ 53.94, rel. 18
- 2θ 69.59, rel. 19

Structure:
a b c (Å): 5.8884 5.8884 5.8884
angles (deg): 90.00 90.00 90.00
Element x y z (fractional)
1 Ba 0.0000 0.0000 0.5000
2 Ba 0.0000 0.5000 0.0000
3 Ba 0.5000 0.0000 0.0000
4 Co 0.5000 0.5000 0.5000
5 Cl 0.0000 0.0000 0.0000


Entry 12:
For TlCoOsPd, a GGA-PBE-relaxed structure gives the simulated X-ray powder pattern in this record (λ = 1.5418 Å (Cu Kα)).
Kinematic intensities with the Lorentz-polarization factor, no thermal factor.

The 7 most intense peaks (2θ = 5–70°), low angle first:
- 2θ 24.29, rel. 2
- 2θ 28.12, rel. 19
- 2θ 40.19, rel. 100
- 2θ 47.51, rel. 1
- 2θ 49.76, rel. 6
- 2θ 58.14, rel. 17
- 2θ 65.80, rel. 8

Structure:
a b c (Å): 6.3470 6.3470 6.3470
angles (deg): 90.00 90.00 90.00
Element x y z (fractional)
1 Tl 0.0000 0.0000 0.0000
2 Tl 0.0000 0.5000 0.5000
3 Tl 0.5000 0.0000 0.5000
4 Tl 0.5000 0.5000 0.0000
5 Co 0.2500 0.2500 0.2500
6 Co 0.2500 0.7500 0.7500
7 Co 0.7500 0.2500 0.7500
8 Co 0.7500 0.7500 0.2500
9 Os 0.0000 0.0000 0.5000
10 Os 0.0000 0.5000 0.0000
11 Os 0.5000 0.0000 0.0000
12 Os 0.5000 0.5000 0.5000
13 Pd 0.2500 0.2500 0.7500
14 Pd 0.2500 0.7500 0.2500
15 Pd 0.7500 0.2500 0.2500
16 Pd 0.7500 0.7500 0.7500